Simulated powder diffractogram
Compound: LiMg4AlMo6O24
Radiation: Cu Kα (λ = 1.5418 Å)
Structure: a DFT-relaxed cell (PBE+U, Alexandria)
Kinematic intensities with the Lorentz-polarization factor, no thermal factor.

Peak list (8 most intense, 10° ≤ 2θ ≤ 90°, low angle first)
d/Å	Rel. int.	index
4.636	62.3	1 0 1
3.965	35.9	1 1 -2
3.890	74.3	1 -2 0
3.744	90.8	0 1 2
3.433	50.2	2 0 -1
3.414	33.9	-2 1 1
3.353	100.0	0 2 -2
3.238	43.4	1 2 -1

a b c (Å): 7.017 8.382 9.884
angles (deg): 95.91 107.58 101.88
Fractional coordinates of all 36 atoms:
Li (0.000, 0.000, 0.000)
Mg (0.280, 0.806, 0.182)
Mg (0.493, 0.415, 0.796)
Mg (0.573, 0.810, 0.779)
Mg (0.781, 0.416, 0.368)
Al (0.068, 0.233, 0.573)
Mo (0.008, 0.825, 0.652)
Mo (0.044, 0.405, 0.895)
Mo (0.336, 0.497, 0.446)
Mo (0.530, 0.132, 0.528)
Mo (0.537, 0.102, 0.041)
Mo (0.731, 0.716, 0.118)
O (0.017, 0.014, 0.570)
O (0.048, 0.241, 0.992)
O (0.077, 0.369, 0.436)
O (0.164, 0.368, 0.749)
O (0.171, 0.594, 0.018)
O (0.265, 0.814, 0.738)
O (0.289, 0.651, 0.341)
O (0.296, 0.981, 0.048)
O (0.362, 0.249, 0.595)
O (0.383, 0.009, 0.361)
O (0.476, 0.594, 0.630)
O (0.480, 0.251, 0.930)
O (0.484, 0.381, 0.377)
O (0.579, 0.991, 0.644)
O (0.586, 0.820, 0.202)
O (0.588, 0.636, 0.925)
O (0.678, 0.975, 0.967)
O (0.695, 0.207, 0.216)
O (0.767, 0.545, 0.205)
O (0.781, 0.400, 0.804)
O (0.789, 0.240, 0.524)
O (0.880, 0.643, 0.518)
O (0.883, 0.838, 0.785)
O (0.986, 0.840, 0.147)